No. 1
Structure and calculated powder diffractogram of SmDy2Se3 (a cell relaxed with PBE; copper Kα).
Neutral-atom scattering factors, no anomalous dispersion.

Structural model:
```
data_SmDy2Se3
_chemical_formula_sum 'Sm2 Dy4 Se6'
_cell_length_a 4.121
_cell_length_b 5.795
_cell_length_c 12.318
_cell_angle_alpha 90.00
_cell_angle_beta 90.00
_cell_angle_gamma 90.00
_symmetry_space_group_name_H-M 'I m m m'
_symmetry_Int_Tables_number 71
_symmetry_space_group_name_Hall '-I 2 2'
loop_
_atom_site_label
_atom_site_type_symbol
_atom_site_fract_x
_atom_site_fract_y
_atom_site_fract_z
Sm1 Sm 0.000 0.000 0.000
Dy1 Dy 0.000 0.000 0.338
Se1 Se 0.000 0.500 0.000
Se2 Se 0.000 0.500 0.327
```

Most intense lines, 15 to 90 degrees two-theta, most intense first:
index  two_theta  I_rel
1 0 3  30.74  100
1 2 3  44.12  92
0 2 0  30.86  50
1 1 0  26.57  30
2 2 0  54.66  20
0 2 6  54.80  19
2 0 0  43.95  19
2 4 0  81.15  18
1 4 3  72.95  17
2 2 6  72.76  17


No. 2
Structure and calculated powder diffractogram of Sm4DySe7 (a cell relaxed with PBE; copper Kα).
Neutral-atom scattering factors, no anomalous dispersion.

Structural model:
```
data_Sm4DySe7
_chemical_formula_sum 'Sm8 Dy2 Se14'
_cell_length_a 13.637
_cell_length_b 4.043
_cell_length_c 12.362
_cell_angle_alpha 90.00
_cell_angle_beta 104.72
_cell_angle_gamma 90.00
_symmetry_space_group_name_H-M 'C 1 m 1'
_symmetry_Int_Tables_number 8
_symmetry_space_group_name_Hall 'C -2y'
loop_
_atom_site_label
_atom_site_type_symbol
_atom_site_fract_x
_atom_site_fract_y
_atom_site_fract_z
Sm1 Sm 0.000 0.000 0.000
Sm2 Sm 0.087 0.500 0.386
Sm3 Sm 0.188 0.000 0.767
Sm4 Sm 0.387 0.500 0.575
Dy1 Dy 0.275 0.500 0.154
Se1 Se 0.048 0.500 0.627
Se2 Se 0.130 0.500 0.931
Se3 Se 0.151 0.000 0.224
Se4 Se 0.227 0.000 0.526
Se5 Se 0.348 0.500 0.792
Se6 Se 0.385 0.000 0.078
Se7 Se 0.426 0.500 0.357
```

Most intense lines, 15 to 90 degrees two-theta, most intense first:
index  two_theta  I_rel
3 1 -2  31.18  100
2 0 -3  22.97  98
2 0 2  22.47  84
3 1 -1  29.66  75
3 1 1  32.22  72
0 2 0  44.84  60
1 1 4  39.46  52
1 1 -4  36.60  48
6 0 -4  44.53  44
3 1 0  30.03  44


No. 3
Structure and calculated powder diffractogram of Sm2Dy3Se6 (a cell relaxed with PBE; copper Kα).
Neutral-atom scattering factors, no anomalous dispersion.

Structural model:
```
data_Sm2Dy3Se6
_chemical_formula_sum 'Sm4 Dy6 Se12'
_cell_length_a 7.113
_cell_length_b 12.259
_cell_length_c 7.112
_cell_angle_alpha 90.00
_cell_angle_beta 109.42
_cell_angle_gamma 90.00
_symmetry_space_group_name_H-M 'C 1 2/m 1'
_symmetry_Int_Tables_number 12
_symmetry_space_group_name_Hall '-C 2y'
loop_
_atom_site_label
_atom_site_type_symbol
_atom_site_fract_x
_atom_site_fract_y
_atom_site_fract_z
Sm1 Sm 0.000 0.165 0.000
Dy1 Dy 0.000 0.000 0.500
Dy2 Dy 0.000 0.334 0.500
Se1 Se 0.242 0.500 0.749
Se2 Se 0.249 0.336 0.255
```

Most intense lines, 15 to 90 degrees two-theta, most intense first:
index  two_theta  I_rel
1 3 1  30.84  100
2 0 2  44.15  62
3 3 3  72.87  17
4 0 0  54.74  13
2 6 -2  54.96  13
1 3 5  81.14  13
0 6 0  44.34  12
4 6 0  72.99  11
3 9 -1  81.50  8
0 0 2  26.65  8


No. 4
Structure and calculated powder diffractogram of Sm2Dy4Se9 (a cell relaxed with PBE; copper Kα).
Neutral-atom scattering factors, no anomalous dispersion.

Structural model:
```
data_Sm2Dy4Se9
_chemical_formula_sum 'Sm4 Dy8 Se18'
_cell_length_a 7.257
_cell_length_b 7.259
_cell_length_c 19.575
_cell_angle_alpha 89.99
_cell_angle_beta 89.97
_cell_angle_gamma 60.05
_symmetry_space_group_name_H-M 'P -1'
_symmetry_Int_Tables_number 2
_symmetry_space_group_name_Hall '-P 1'
loop_
_atom_site_label
_atom_site_type_symbol
_atom_site_fract_x
_atom_site_fract_y
_atom_site_fract_z
Sm1 Sm 0.000 0.001 0.150
Sm2 Sm 0.001 0.998 0.350
Dy1 Dy 0.332 0.334 0.818
Dy2 Dy 0.333 0.334 0.014
Dy3 Dy 0.334 0.333 0.318
Dy4 Dy 0.334 0.333 0.514
Se1 Se 0.001 0.308 0.250
Se2 Se 0.028 0.340 0.917
Se3 Se 0.028 0.630 0.417
Se4 Se 0.308 0.000 0.750
Se5 Se 0.308 0.691 0.250
Se6 Se 0.342 0.630 0.916
Se7 Se 0.343 0.026 0.416
Se8 Se 0.368 0.658 0.584
Se9 Se 0.371 0.972 0.083
```

Most intense lines, 15 to 90 degrees two-theta, most intense first:
index  two_theta  I_rel
1 2 6  37.05  100
3 3 0  43.17  63
2 1 3  28.13  59
1 1 -4  23.03  57
1 1 2  16.76  42
2 1 0  24.52  40
0 2 -4  33.89  38
2 -1 4  42.28  35
2 4 6  58.16  26
1 0 10  48.73  23


No. 5
Structure and calculated powder diffractogram of Sm6Dy2Se3 (a cell relaxed with PBE; copper Kα).
Neutral-atom scattering factors, no anomalous dispersion.

Structural model:
```
data_Sm6Dy2Se3
_chemical_formula_sum 'Sm18 Dy6 Se9'
_cell_length_a 3.8746
_cell_length_b 3.8746
_cell_length_c 76.7115
_cell_angle_alpha 90.00
_cell_angle_beta 90.00
_cell_angle_gamma 120.00
_symmetry_space_group_name_H-M 'R -3 m'
_symmetry_Int_Tables_number 166
_symmetry_space_group_name_Hall '-R 3 2"'
loop_
_atom_site_label
_atom_site_type_symbol
_atom_site_fract_x
_atom_site_fract_y
_atom_site_fract_z
Sm1 Sm 0.0000 0.0000 0.0739
Sm2 Sm 0.0000 0.0000 0.1852
Sm3 Sm 0.0000 0.0000 0.3580
Dy1 Dy 0.0000 0.0000 0.4445
Se1 Se 0.0000 0.0000 0.0000
Se2 Se 0.0000 0.0000 0.2844
```

Most intense lines, 15 to 90 degrees two-theta, most intense first:
index  two_theta  I_rel
0 1 11  29.54  100
1 1 0  46.90  48
1 0 19  34.76  33
0 1 8  28.18  32
0 1 14  31.26  28
1 0 16  32.57  18
1 0 25  39.81  17
2 0 11  56.41  16
0 1 35  49.68  16
1 1 27  57.59  15


No. 6
Structure and calculated powder diffractogram of Tb4SmDy3Se8 (a cell relaxed with PBE; copper Kα).
Neutral-atom scattering factors, no anomalous dispersion.

Structural model:
```
data_Tb4SmDy3Se8
_chemical_formula_sum 'Tb12 Sm3 Dy9 Se24'
_cell_length_a 8.1968
_cell_length_b 8.1968
_cell_length_c 20.0802
_cell_angle_alpha 90.00
_cell_angle_beta 90.00
_cell_angle_gamma 120.00
_symmetry_space_group_name_H-M 'R -3 m'
_symmetry_Int_Tables_number 166
_symmetry_space_group_name_Hall '-R 3 2"'
loop_
_atom_site_label
_atom_site_type_symbol
_atom_site_fract_x
_atom_site_fract_y
_atom_site_fract_z
Tb1 Tb 0.0000 0.0000 0.0000
Tb2 Tb 0.0000 0.5000 0.0000
Sm1 Sm 0.0000 0.0000 0.5000
Dy1 Dy 0.0000 0.5000 0.5000
Se1 Se 0.0000 0.0000 0.2493
Se2 Se 0.0042 0.5021 0.7497
```

Most intense lines, 15 to 90 degrees two-theta, most intense first:
index  two_theta  I_rel
0 2 4  30.85  100
2 2 0  44.20  74
2 4 4  73.00  33
4 0 4  54.87  26
4 2 8  81.32  25
2 0 2  26.64  20
0 4 8  64.28  12
2 2 6  52.35  10
4 2 2  70.87  4
6 0 6  87.44  3


No. 7
Structure and calculated powder diffractogram of Dy7SnSe5 (a cell relaxed with PBE; copper Kα).
Neutral-atom scattering factors, no anomalous dispersion.

Structural model:
```
data_Dy7SnSe5
_chemical_formula_sum 'Dy28 Sn4 Se20'
_cell_length_a 4.125
_cell_length_b 13.294
_cell_length_c 24.134
_cell_angle_alpha 90.00
_cell_angle_beta 90.00
_cell_angle_gamma 90.00
_symmetry_space_group_name_H-M 'C m c m'
_symmetry_Int_Tables_number 63
_symmetry_space_group_name_Hall '-C 2c 2'
loop_
_atom_site_label
_atom_site_type_symbol
_atom_site_fract_x
_atom_site_fract_y
_atom_site_fract_z
Dy1 Dy 0.000 0.025 0.250
Dy2 Dy 0.000 0.138 0.536
Dy3 Dy 0.000 0.317 0.178
Dy4 Dy 0.000 0.403 0.617
Sn1 Sn 0.000 0.305 0.750
Se1 Se 0.000 0.047 0.641
Se2 Se 0.000 0.226 0.072
Se3 Se 0.000 0.500 0.000
```

Most intense lines, 15 to 90 degrees two-theta, most intense first:
index  two_theta  I_rel
1 3 2  30.52  100
0 2 7  29.19  84
1 3 3  31.65  60
2 0 0  43.90  37
1 1 9  40.70  36
1 5 5  44.68  31
0 2 8  32.60  28
2 2 7  53.58  28
1 1 4  27.04  26
0 6 5  45.02  23


No. 8
Structure and calculated powder diffractogram of Dy2SnSe4 (a cell relaxed with PBE; copper Kα).
Neutral-atom scattering factors, no anomalous dispersion.

Structural model:
```
data_Dy2SnSe4
_chemical_formula_sum 'Dy8 Sn4 Se16'
_cell_length_a 4.097
_cell_length_b 13.550
_cell_length_c 14.119
_cell_angle_alpha 90.00
_cell_angle_beta 90.00
_cell_angle_gamma 90.00
_symmetry_space_group_name_H-M 'C m c m'
_symmetry_Int_Tables_number 63
_symmetry_space_group_name_Hall '-C 2c 2'
loop_
_atom_site_label
_atom_site_type_symbol
_atom_site_fract_x
_atom_site_fract_y
_atom_site_fract_z
Dy1 Dy 0.000 0.137 0.066
Sn1 Sn 0.000 0.399 0.250
Se1 Se 0.000 0.046 0.250
Se2 Se 0.000 0.230 0.617
Se3 Se 0.000 0.500 0.000
```

Most intense lines, 15 to 90 degrees two-theta, most intense first:
index  two_theta  I_rel
1 3 1  30.12  100
0 6 3  44.48  99
0 2 3  23.01  94
1 3 2  32.11  94
1 1 5  39.32  63
0 2 4  28.51  56
1 3 0  29.43  47
2 0 0  44.21  43
1 5 2  41.98  41
1 7 8  76.65  26


No. 9
Structure and calculated powder diffractogram of Dy5SnSe4 (a cell relaxed with PBE; copper Kα).
Neutral-atom scattering factors, no anomalous dispersion.

Structural model:
```
data_Dy5SnSe4
_chemical_formula_sum 'Dy10 Sn2 Se8'
_cell_length_a 9.282
_cell_length_b 9.282
_cell_length_c 5.861
_cell_angle_alpha 90.00
_cell_angle_beta 90.00
_cell_angle_gamma 90.00
_symmetry_space_group_name_H-M 'I 4/m'
_symmetry_Int_Tables_number 87
_symmetry_space_group_name_Hall '-I 4'
loop_
_atom_site_label
_atom_site_type_symbol
_atom_site_fract_x
_atom_site_fract_y
_atom_site_fract_z
Dy1 Dy 0.000 0.000 0.000
Dy2 Dy 0.100 0.695 0.500
Sn1 Sn 0.000 0.000 0.500
Se1 Se 0.103 0.700 0.000
```

Most intense lines, 15 to 90 degrees two-theta, most intense first:
index  two_theta  I_rel
0 0 2  30.47  100
3 1 2  43.63  75
2 4 2  54.15  26
2 4 4  80.13  25
6 2 2  71.94  22
1 2 1  26.31  16
3 1 4  72.03  11
6 2 0  63.37  8
1 2 3  51.67  8
0 0 4  63.48  4


No. 10
Structure and calculated powder diffractogram of Dy6SnTe2Se3 (a cell relaxed with PBE; copper Kα).
Neutral-atom scattering factors, no anomalous dispersion.

Structural model:
```
data_Dy6SnTe2Se3
_chemical_formula_sum 'Dy12 Sn2 Te4 Se6'
_cell_length_a 7.316
_cell_length_b 12.644
_cell_length_c 7.354
_cell_angle_alpha 90.00
_cell_angle_beta 109.29
_cell_angle_gamma 90.00
_symmetry_space_group_name_H-M 'C 1 2/m 1'
_symmetry_Int_Tables_number 12
_symmetry_space_group_name_Hall '-C 2y'
loop_
_atom_site_label
_atom_site_type_symbol
_atom_site_fract_x
_atom_site_fract_y
_atom_site_fract_z
Dy1 Dy 0.230 0.000 0.226
Dy2 Dy 0.249 0.339 0.228
Sn1 Sn 0.000 0.000 0.500
Te1 Te 0.000 0.334 0.500
Se1 Se 0.000 0.171 0.000
Se2 Se 0.000 0.500 0.000
```

Most intense lines, 15 to 90 degrees two-theta, most intense first:
index  two_theta  I_rel
1 3 1  29.88  100
0 6 0  42.87  38
2 0 2  42.65  35
2 6 -2  53.17  13
2 6 2  62.07  11
4 6 0  70.52  11
6 0 -2  78.44  10
0 6 4  70.27  10
1 3 -1  25.84  7
4 0 0  53.05  7


No. 11
Structure and calculated powder diffractogram of Dy2Tl3SnSe6 (a cell relaxed with PBE; copper Kα).
Neutral-atom scattering factors, no anomalous dispersion.

Structural model:
```
data_Dy2Tl3SnSe6
_chemical_formula_sum 'Dy4 Tl6 Sn2 Se12'
_cell_length_a 19.616
_cell_length_b 4.151
_cell_length_c 9.126
_cell_angle_alpha 90.00
_cell_angle_beta 109.17
_cell_angle_gamma 90.00
_symmetry_space_group_name_H-M 'C 1 2/m 1'
_symmetry_Int_Tables_number 12
_symmetry_space_group_name_Hall '-C 2y'
loop_
_atom_site_label
_atom_site_type_symbol
_atom_site_fract_x
_atom_site_fract_y
_atom_site_fract_z
Dy1 Dy 0.168 0.000 0.336
Tl1 Tl 0.000 0.500 0.500
Tl2 Tl 0.168 0.000 0.837
Sn1 Sn 0.000 0.500 0.000
Se1 Se 0.010 0.000 0.230
Se2 Se 0.157 0.500 0.111
Se3 Se 0.177 0.500 0.560
```

Most intense lines, 15 to 90 degrees two-theta, most intense first:
index  two_theta  I_rel
1 1 -2  29.15  100
6 0 0  28.91  51
7 1 -2  40.02  38
5 1 2  42.98  36
2 0 -4  39.71  19
3 1 0  25.86  19
6 2 0  53.17  19
0 2 0  43.61  18
4 0 -2  23.12  15
2 2 -4  60.43  11


No. 12
Structure and calculated powder diffractogram of SrTbDy4Se8 (a cell relaxed with PBE; copper Kα).
Neutral-atom scattering factors, no anomalous dispersion.

Structural model:
```
data_SrTbDy4Se8
_chemical_formula_sum 'Sr3 Tb3 Dy12 Se24'
_cell_length_a 8.5300
_cell_length_b 8.5300
_cell_length_c 20.9265
_cell_angle_alpha 90.00
_cell_angle_beta 90.00
_cell_angle_gamma 120.00
_symmetry_space_group_name_H-M 'R 3 m'
_symmetry_Int_Tables_number 160
_symmetry_space_group_name_Hall 'R 3 -2"'
loop_
_atom_site_label
_atom_site_type_symbol
_atom_site_fract_x
_atom_site_fract_y
_atom_site_fract_z
Sr1 Sr 0.0000 0.0000 0.0000
Tb1 Tb 0.0000 0.0000 0.3729
Dy1 Dy 0.0000 0.0000 0.7497
Dy2 Dy 0.0050 0.5025 0.8754
Se1 Se 0.0000 0.0000 0.1384
Se2 Se 0.0000 0.0000 0.6172
Se3 Se 0.0194 0.5097 0.1277
Se4 Se 0.1844 0.3688 0.9532
```

Most intense lines, 15 to 90 degrees two-theta, most intense first:
index  two_theta  I_rel
2 2 0  42.36  100
0 2 1  24.46  88
0 2 4  29.61  62
0 2 7  38.77  52
4 2 8  77.47  22
4 0 7  58.76  21
1 0 4  20.82  20
2 4 4  69.68  17
0 4 8  61.46  15
4 0 4  52.53  15